# Ga3SnRh4
Calculated X-ray diffraction stick pattern, Cu Kα. Input: DFT lattice parameters and positions (GGA-PBE).
Kinematic intensities with the Lorentz-polarization factor, no thermal factor.

Structure:
Cell: 13.997 4.225 4.226 Å, 90.00 107.45 90.00°
Space group C2/m (No. 12)
One atom of each set of equivalent atoms:
Ga 0.000 0.000 0.000 (multiplicity 2)
Ga 0.248 0.000 0.248 (multiplicity 4)
Sn 0.000 0.500 0.500 (multiplicity 2)
Rh 0.132 0.000 0.632 (multiplicity 4)
Rh 0.132 0.500 0.132 (multiplicity 4)

Main lines, in order of falling intensity (5° ≤ 2θ ≤ 70°):
- 40.5°, I 1000, hkl 3 1 1
- 42.8°, I 430, hkl 0 2 0
- 62.1°, I 140, hkl 2 2 -2
- 55.0°, I 95, hkl 8 0 0
- 32.8°, I 21, hkl 1 1 1
- 22.1°, I 17, hkl 2 0 -1
- 29.9°, I 13, hkl 1 1 -1
- 29.1°, I 12, hkl 4 0 -1
- 60.4°, I 10, hkl 4 0 2
- 26.7°, I 8, hkl 4 0 0

# In2WBr2
Calculated X-ray diffraction stick pattern, Cu Kα. Input: DFT lattice parameters and positions (GGA-PBE).
Kinematic intensities with the Lorentz-polarization factor, no thermal factor.

Structure:
Cell: 3.751 3.751 19.876 Å, 90.00 90.00 90.00°
Space group I4/mmm (No. 139)
One atom of each set of equivalent atoms:
In 0.000 0.000 0.072 (multiplicity 4)
W 0.000 0.000 0.500 (multiplicity 2)
Br 0.000 0.500 0.250 (multiplicity 4)

Main lines, in order of falling intensity (5° ≤ 2θ ≤ 70°):
- 35.0°, I 1000, hkl 1 1 2
- 8.9°, I 615, hkl 0 0 2
- 32.8°, I 539, hkl 1 0 5
- 39.8°, I 503, hkl 1 0 7
- 17.9°, I 473, hkl 0 0 4
- 48.5°, I 274, hkl 2 0 0
- 64.5°, I 238, hkl 2 1 7
- 59.8°, I 190, hkl 2 1 5
- 47.8°, I 179, hkl 1 0 9
- 33.8°, I 144, hkl 1 1 0

# AcPm6Tm8
Calculated X-ray diffraction stick pattern, Cu Kα. Input: DFT lattice parameters and positions (GGA-PBE).
Kinematic intensities with the Lorentz-polarization factor, no thermal factor.

Structure:
Cell: 8.6053 8.6053 25.2660 Å, 90.00 90.00 120.00°
Space group R-3 (No. 148, hexagonal axes)
One atom of each set of equivalent atoms:
Ac 0.0000 0.0000 0.0000 (multiplicity 3)
Pm 0.0385 0.2718 0.6112 (multiplicity 18)
Tm 0.0000 0.0000 0.2909 (multiplicity 6)
Tm 0.0168 0.7701 0.1957 (multiplicity 18)

Main lines, in order of falling intensity (5° ≤ 2θ ≤ 70°):
- 32.0°, I 1000, hkl 2 1 1
- 29.7°, I 953, hkl 1 1 6
- 23.2°, I 508, hkl 1 1 3
- 34.9°, I 484, hkl 3 -1 4
- 34.6°, I 416, hkl 0 2 7
- 21.2°, I 303, hkl 0 1 5
- 56.6°, I 285, hkl 1 4 0
- 29.8°, I 271, hkl 2 0 5
- 37.6°, I 249, hkl 1 0 10
- 36.5°, I 244, hkl 1 2 5

What is the formula in the third record? AcPm6Tm8